Structure and computed X-ray diffraction stick pattern of Ac3Pr8Sm (a DFT-relaxed cell (GGA-PBE, Alexandria); CuKα).

Structure:
```
data_Ac3Pr8Sm
_chemical_formula_sum 'Ac6 Pr16 Sm2'
_space_group_name_H-M_alt 'I 2 2 2'
_space_group_IT_number 23
_cell_length_a 6.7726
_cell_length_b 9.5596
_cell_length_c 14.5742
_cell_angle_alpha 90.00
_cell_angle_beta 90.00
_cell_angle_gamma 90.00
loop_
_space_group_symop_operation_xyz
'x,y,z'
'-x,-y,z'
'x,-y,-z'
'-x,y,-z'
'x+1/2,y+1/2,z+1/2'
'-x+1/2,-y+1/2,z+1/2'
'x+1/2,-y+1/2,-z+1/2'
'-x+1/2,y+1/2,-z+1/2'
loop_
_atom_site_label
_atom_site_fract_x
_atom_site_fract_y
_atom_site_fract_z
Ac1 0.0000 0.0000 0.0000
Ac2 0.0000 0.5000 0.3702
Pr1 0.1296 0.3419 0.8982
Pr2 0.1403 0.1486 0.7077
Sm1 0.0000 0.0000 0.5000
```

Principal peaks in the range 2θ from 10° to 80°, low angle first:
(1 0 3), 22.52°, 3.948 Å, rel. 14
(1 2 1), 23.59°, 3.772 Å, rel. 12
(0 3 1), 28.65°, 3.116 Å, rel. 61
(1 1 4), 29.36°, 3.042 Å, rel. 100
(2 2 0), 32.40°, 2.763 Å, rel. 14
(1 3 2), 33.43°, 2.681 Å, rel. 26
(0 3 3), 33.63°, 2.665 Å, rel. 17
(2 2 2), 34.72°, 2.584 Å, rel. 22
(3 0 5), 51.21°, 1.784 Å, rel. 19
(3 3 4), 55.95°, 1.643 Å, rel. 26